1.
The following is a computed powder XRD pattern of KBa4Fe10As10. It was derived from the PBE geometry in Alexandria, using Cu Kα, 1.54184 Å.

```
data_KBa4Fe10As10
_cell_length_a 8.8200
_cell_length_b 8.8200
_cell_length_c 12.8133
_cell_angle_alpha 90.00
_cell_angle_beta 90.00
_cell_angle_gamma 90.00
_symmetry_space_group_name_H-M 'I 4/m'
_symmetry_Int_Tables_number 87
_symmetry_space_group_name_Hall '-I 4'
loop_
_atom_site_label
_atom_site_type_symbol
_atom_site_fract_x
_atom_site_fract_y
_atom_site_fract_z
K1 K 0.0000 0.0000 0.0000
Ba1 Ba 0.1067 0.6978 0.5000
Fe1 Fe 0.0000 0.5000 0.2500
Fe2 Fe 0.1002 0.2001 0.2507
As1 As 0.0000 0.0000 0.3464
As2 As 0.1001 0.7011 0.1536
```

Largest 6 diffraction maxima, in order of rising 2θ, 2θ = 15–90°:
2theta, I (rel.), hkl
30.9, 100, 1 2 3
32.1, 14, 3 1 0
35.1, 32, 3 1 2
46.0, 34, 2 4 0
54.1, 38, 3 1 6
56.4, 35, 5 0 3

2.
The following is a computed powder XRD pattern of Ba2NaFe6As6. It was derived from the PBE geometry in Alexandria, using Cu Kα, 1.54184 Å.

```
data_Ba2NaFe6As6
_cell_length_a 16.6039
_cell_length_b 5.3944
_cell_length_c 7.1204
_cell_angle_alpha 90.00
_cell_angle_beta 112.80
_cell_angle_gamma 90.00
_symmetry_space_group_name_H-M 'C 1 2/m 1'
_symmetry_Int_Tables_number 12
loop_
_symmetry_equiv_pos_as_xyz
'x,y,z'
'-x,-y,-z'
'-x,y,-z'
'x,-y,z'
'x+1/2,y+1/2,z'
'-x+1/2,-y+1/2,-z'
'-x+1/2,y+1/2,-z'
'x+1/2,-y+1/2,z'
loop_
_atom_site_label
_atom_site_type_symbol
_atom_site_fract_x
_atom_site_fract_y
_atom_site_fract_z
Ba1 Ba 0.1609 0.0000 0.4986
Na1 Na 0.0000 0.5000 0.5000
Fe1 Fe 0.0000 0.2489 0.0000
Fe2 Fe 0.1669 0.2493 0.0008
As1 As 0.0503 0.0000 0.7950
As2 As 0.1177 0.5000 0.2040
As3 As 0.2162 0.5000 0.8001
```

Largest 6 diffraction maxima, in order of rising 2θ, 2θ = 15–90°:
2theta, I (rel.), hkl
30.9, 100, 3 1 1
35.2, 17, 6 0 -2
47.0, 35, 6 2 -1
53.4, 19, 6 0 2
54.0, 19, 0 2 3
57.9, 16, 3 3 1